(1)
Starting from a DFT-relaxed cell (GGA-PBE, Alexandria), the powder diffraction line list of K2RbTcF8 was calculated for λ = 1.5418 Å (Cu Kα).

The 6 most intense peaks (2θ from 5° to 70°), most intense first:
2θ 27.61, d 3.230, rel. 100; 2θ 18.62, d 4.767, rel. 70; 2θ 32.54, d 2.752, rel. 56; 2θ 43.19, d 2.095, rel. 40; 2θ 53.37, d 1.717, rel. 38; 2θ 55.10, d 1.667, rel. 28

Structure:
```
K2RbTcF8
1.0
5.504 0.000 0.000
-2.752 4.767 0.000
0.000 0.000 8.786
K Rb Tc F
2 1 1 8
Direct
0.333 0.667 0.267
0.667 0.333 0.733
0.000 0.000 0.000
0.000 0.000 0.500
0.161 0.322 0.632
0.161 0.839 0.632
0.322 0.161 0.368
0.333 0.667 0.985
0.667 0.333 0.015
0.678 0.839 0.632
0.839 0.161 0.368
0.839 0.678 0.368
```

---

(2)
Starting from a DFT-relaxed cell (GGA-PBE, Alexandria), the powder diffraction line list of KRb2UF8 was calculated for λ = 1.5418 Å (Cu Kα).

The 6 most intense peaks (2θ from 5° to 70°), most intense first:
2θ 25.13, d 3.544, rel. 100; 2θ 16.06, d 5.519, rel. 45; 2θ 41.88, d 2.157, rel. 40; 2θ 48.75, d 1.868, rel. 31; 2θ 41.06, d 2.198, rel. 21; 2θ 14.79, d 5.990, rel. 20

Structure:
```
KRb2UF8
1.0
-3.109 3.109 5.990
3.109 -3.109 5.990
3.109 3.109 -5.990
K Rb U F
1 2 1 8
Direct
0.000 0.000 0.000
0.250 0.750 0.500
0.500 0.500 0.000
0.750 0.250 0.500
0.061 0.149 0.496
0.061 0.565 0.912
0.435 0.347 0.496
0.435 0.939 0.088
0.653 0.149 0.088
0.653 0.565 0.504
0.851 0.347 0.912
0.851 0.939 0.504
```